This entry pairs a crystal structure of Sr4Ca4Co7CuO24 with its simulated powder X-ray diffraction pattern. Radiation: Cu Ka. Structure: a DFT-relaxed cell (PBE+U, the Materials Project).
Lines closer than 0.1° are merged.

Peak list (10 most intense, 10° ≤ 2θ ≤ 90°, sorted by position)
2θ (°), d (Å), I (rel.), h k l
33.15, 2.703, 100.0, 4 0 0
33.25, 2.695, 49.6, 2 2 2
47.55, 1.912, 42.1, 4 4 0
47.80, 1.903, 20.6, 0 0 4
59.18, 1.561, 18.2, 6 2 -2
59.28, 1.559, 22.7, 4 0 -4
59.42, 1.556, 13.5, 4 0 4
69.52, 1.352, 11.6, 8 0 0
69.62, 1.350, 11.5, 4 4 -4
79.19, 1.210, 11.5, 6 6 -2

Crystal structure
```
data_Sr4Ca4Co7CuO24
_chemical_formula_sum 'Sr8 Ca8 Co14 Cu2 O48'
_cell_length_a 10.819
_cell_length_b 10.817
_cell_length_c 7.612
_cell_angle_alpha 90.00
_cell_angle_beta 90.18
_cell_angle_gamma 90.00
_symmetry_space_group_name_H-M 'C 1 m 1'
_symmetry_Int_Tables_number 8
_symmetry_space_group_name_Hall 'C -2y'
loop_
_atom_site_label
_atom_site_fract_x
_atom_site_fract_y
_atom_site_fract_z
Sr1 0.000 0.000 0.000
Sr2 0.003 0.500 0.499
Sr3 0.251 0.251 0.000
Ca1 0.004 0.500 0.000
Ca2 0.252 0.253 0.499
Ca3 0.498 0.500 0.499
Co1 0.001 0.250 0.251
Co2 0.001 0.250 0.748
Co3 0.251 0.000 0.252
Co4 0.251 0.000 0.748
Co5 0.251 0.500 0.251
Cu1 0.251 0.500 0.749
O1 0.001 0.252 0.001
O2 0.002 0.248 0.498
O3 0.123 0.128 0.254
O4 0.124 0.372 0.748
O5 0.126 0.374 0.252
O6 0.129 0.123 0.743
O7 0.248 0.500 0.005
O8 0.251 0.000 0.491
O9 0.252 0.000 0.007
O10 0.254 0.500 0.496
O11 0.374 0.123 0.748
O12 0.377 0.375 0.256
O13 0.379 0.128 0.252
O14 0.379 0.373 0.742
```